# 1
This entry pairs a crystal structure of LiH2N with its computed powder diffraction line list. Radiation: Cu Kα (λ = 1.5418 Å). Structure: the GGA-PBE geometry in Alexandria.
Neutral-atom scattering factors, no anomalous dispersion.

Atomic structure:
Lattice parameters (Å, degrees): 3.376 3.835 10.104 90.00 90.00 90.00
Space group Pccn (No. 56)
Unique sites:
Li 0.250 0.250 0.023 (multiplicity 4)
H 0.037 0.668 0.173 (multiplicity 8)
N 0.250 0.750 0.107 (multiplicity 4)

Top 10 peaks for 10 to 90 degrees two-theta, in order of rising 2θ:
- 2θ = 17.56°, 5.052 Å, intensity 343, (0 0 2)
- 2θ = 29.24°, 3.054 Å, intensity 1000, (0 1 2)
- 2θ = 31.89°, 2.807 Å, intensity 886, (1 0 2)
- 2θ = 35.43°, 2.534 Å, intensity 217, (1 1 0)
- 2θ = 35.54°, 2.526 Å, intensity 106, (0 0 4)
- 2θ = 44.81°, 2.022 Å, intensity 85, (1 0 4)
- 2θ = 47.42°, 1.917 Å, intensity 191, (0 2 0)
- 2θ = 51.06°, 1.789 Å, intensity 404, (1 1 4)
- 2θ = 54.36°, 1.688 Å, intensity 83, (2 0 0)
- 2θ = 58.28°, 1.583 Å, intensity 180, (1 2 2)

# 2
This entry pairs a crystal structure of Li2HN with its computed powder diffraction line list. Radiation: Cu Kα (λ = 1.5418 Å). Structure: the GGA-PBE geometry in Alexandria.
Neutral-atom scattering factors, no anomalous dispersion.

Atomic structure:
Lattice parameters (Å, degrees): 4.905 4.905 5.319 90.00 90.00 90.00
Space group P4_2/m (No. 84)
Unique sites:
Li 0.000 0.000 0.250 (multiplicity 2)
Li 0.000 0.500 0.213 (multiplicity 4)
Li 0.500 0.500 0.250 (multiplicity 2)
H 0.041 0.724 0.500 (multiplicity 4)
N 0.246 0.250 0.000 (multiplicity 4)

Top 10 peaks for 10 to 90 degrees two-theta, in order of rising 2θ:
- 2θ = 30.77°, 2.905 Å, intensity 1000, (1 1 1)
- 2θ = 33.70°, 2.660 Å, intensity 29, (0 0 2)
- 2θ = 50.63°, 1.803 Å, intensity 520, (2 0 2)
- 2θ = 52.79°, 1.734 Å, intensity 219, (2 2 0)
- 2θ = 58.46°, 1.579 Å, intensity 86, (1 1 3)
- 2θ = 62.36°, 1.489 Å, intensity 123, (3 1 1)
- 2θ = 70.86°, 1.330 Å, intensity 35, (0 0 4)
- 2θ = 77.91°, 1.226 Å, intensity 60, (4 0 0)
- 2θ = 82.65°, 1.167 Å, intensity 44, (3 1 3)
- 2θ = 86.06°, 1.130 Å, intensity 19, (3 3 1)

# 3
This entry pairs a crystal structure of LiH6N with its computed powder diffraction line list. Radiation: Cu Kα (λ = 1.5418 Å). Structure: the GGA-PBE geometry in Alexandria.
Neutral-atom scattering factors, no anomalous dispersion.

Atomic structure:
Lattice parameters (Å, degrees): 3.2745 3.2745 13.9956 90.00 90.00 120.00
Space group R-3m (No. 166, hexagonal axes)
Unique sites:
Li 0.0000 0.0000 0.0000 (multiplicity 3)
H 0.0675 0.5338 0.8910 (multiplicity 18)
N 0.0000 0.0000 0.5000 (multiplicity 3)

Top 10 peaks for 10 to 90 degrees two-theta, in order of rising 2θ:
- 2θ = 19.02°, 4.665 Å, intensity 1000, (0 0 3)
- 2θ = 32.21°, 2.779 Å, intensity 307, (1 0 1)
- 2θ = 34.11°, 2.628 Å, intensity 691, (0 1 2)
- 2θ = 38.60°, 2.333 Å, intensity 122, (0 0 6)
- 2θ = 40.97°, 2.203 Å, intensity 737, (1 0 4)
- 2θ = 56.18°, 1.637 Å, intensity 147, (1 1 0)
- 2θ = 62.37°, 1.489 Å, intensity 110, (0 1 8)
- 2θ = 67.39°, 1.390 Å, intensity 90, (2 0 2)
- 2θ = 70.24°, 1.340 Å, intensity 152, (1 1 6)
- 2θ = 75.80°, 1.255 Å, intensity 51, (1 0 10)

# 4
This entry pairs a crystal structure of Li2HN with its computed powder diffraction line list. Radiation: Cu Kα (λ = 1.5418 Å). Structure: the GGA-PBE geometry in Alexandria.
Neutral-atom scattering factors, no anomalous dispersion.

Atomic structure:
Lattice parameters (Å, degrees): 7.087 7.147 10.143 90.00 90.00 90.00
Space group Imma (No. 74)
Unique sites:
Li 0.000 0.250 0.105 (multiplicity 4)
Li 0.000 0.250 0.383 (multiplicity 4)
Li 0.000 0.250 0.877 (multiplicity 4)
Li 0.233 0.007 0.885 (multiplicity 16)
Li 0.250 0.250 0.250 (multiplicity 4)
H 0.000 0.082 0.696 (multiplicity 8)
H 0.141 0.250 0.551 (multiplicity 8)
N 0.000 0.032 0.240 (multiplicity 8)
N 0.240 0.250 0.008 (multiplicity 8)

Top 10 peaks for 10 to 90 degrees two-theta, in order of rising 2θ:
- 2θ = 15.18°, 5.836 Å, intensity 302, (0 1 1)
- 2θ = 30.60°, 2.921 Å, intensity 697, (0 2 2)
- 2θ = 30.78°, 2.905 Å, intensity 750, (2 0 2)
- 2θ = 35.40°, 2.536 Å, intensity 54, (0 0 4)
- 2θ = 35.68°, 2.516 Å, intensity 93, (2 2 0)
- 2θ = 51.14°, 1.786 Å, intensity 1000, (2 2 4)
- 2θ = 51.59°, 1.772 Å, intensity 207, (4 0 0)
- 2θ = 60.87°, 1.522 Å, intensity 62, (2 4 2)
- 2θ = 61.18°, 1.515 Å, intensity 73, (4 2 2)
- 2θ = 75.58°, 1.258 Å, intensity 84, (4 4 0)